Li4Fe7O12: computed powder XRD pattern (Cu Kα (weighted mean of Kα1 and Kα2)), based on DFT lattice parameters and positions (PBE+U).
Intensities are scaled so that the largest is 100.

The 10 most intense peaks (2θ = 15–90°), by angle:
| 2θ/deg | Rel. int. | index |
| --- | --- | --- |
| 18.4 | 40.3 | 0 0 2 |
| 19.7 | 22.0 | 0 2 0 |
| 20.6 | 19.0 | 1 1 -1 |
| 23.4 | 34.6 | 1 1 1 |
| 36.8 | 23.2 | 1 3 1 |
| 42.7 | 100.0 | 1 3 -3 |
| 43.1 | 47.9 | 2 0 2 |
| 61.9 | 27.1 | 3 3 -1 |
| 62.2 | 13.7 | 2 0 -6 |
| 62.6 | 26.2 | 1 3 5 |

Cell and atoms:
abc: 5.1854 9.0164 9.8394
angles: 90.00 100.76 90.00
Space group P2_1 (No. 4)
Asymmetric unit:
Li (0.0033, 0.0000, 0.2556) [2 per cell]
Li (0.0082, 0.3368, 0.2583) [2 per cell]
Li (0.2573, 0.4990, 0.4968) [2 per cell]
Li (0.4957, 0.3329, 0.7444) [2 per cell]
Fe (0.0133, 0.6584, 0.2585) [2 per cell]
Fe (0.2472, 0.3372, 0.0041) [2 per cell]
Fe (0.2489, 0.8403, 0.5044) [2 per cell]
Fe (0.2550, 0.6636, 0.0076) [2 per cell]
Fe (0.2578, 0.9949, 0.9967) [2 per cell]
Fe (0.2615, 0.1644, 0.5073) [2 per cell]
Fe (0.4891, 0.6681, 0.7429) [2 per cell]
O (0.1011, 0.4971, 0.1207) [2 per cell]
O (0.1109, 0.0072, 0.6149) [2 per cell]
O (0.1121, 0.3184, 0.6232) [2 per cell]
O (0.1122, 0.8364, 0.1205) [2 per cell]
O (0.1335, 0.6768, 0.6272) [2 per cell]
O (0.1493, 0.1654, 0.1220) [2 per cell]
O (0.3440, 0.1729, 0.8818) [2 per cell]
O (0.3649, 0.6834, 0.3789) [2 per cell]
O (0.3714, 0.0076, 0.3820) [2 per cell]
O (0.3832, 0.4980, 0.8780) [2 per cell]
O (0.3855, 0.3143, 0.3817) [2 per cell]
O (0.3884, 0.8273, 0.8845) [2 per cell]

---

Fe3OF5: computed powder XRD pattern (Cu Kα (weighted mean of Kα1 and Kα2)), based on DFT lattice parameters and positions (PBE+U).
Intensities are scaled so that the largest is 100.

The 10 most intense peaks (2θ = 15–90°), by angle:
| 2θ/deg | Rel. int. | index |
| --- | --- | --- |
| 26.2 | 100.0 | 1 1 2 |
| 26.3 | 98.6 | 1 -1 0 |
| 33.2 | 27.6 | 1 2 0 |
| 33.4 | 55.2 | 0 1 -2 |
| 33.7 | 27.3 | 1 0 -2 |
| 50.8 | 31.2 | 3 2 2 |
| 51.3 | 31.2 | 3 0 0 |
| 53.8 | 18.7 | 2 2 4 |
| 54.2 | 18.7 | 2 -2 0 |
| 57.1 | 19.9 | 2 2 -2 |

Cell and atoms:
abc: 5.7889 5.8287 7.5062
angles: 73.01 72.58 71.33
Space group P1 (No. 1)
Asymmetric unit:
Fe (0.0000, 0.0000, 0.0000) [1 per cell]
Fe (0.0005, 0.0241, 0.5203) [1 per cell]
Fe (0.3122, 0.3233, 0.6786) [1 per cell]
Fe (0.3131, 0.3253, 0.1971) [1 per cell]
Fe (0.6586, 0.6629, 0.8461) [1 per cell]
Fe (0.6827, 0.6406, 0.3565) [1 per cell]
O (0.0845, 0.0827, 0.7319) [1 per cell]
O (0.9692, 0.3398, 0.3588) [1 per cell]
F (0.0238, 0.6478, 0.6671) [1 per cell]
F (0.2209, 0.2106, 0.9881) [1 per cell]
F (0.2900, 0.6998, 0.0233) [1 per cell]
F (0.3642, 0.9382, 0.3629) [1 per cell]
F (0.4343, 0.4291, 0.3871) [1 per cell]
F (0.5470, 0.5545, 0.6620) [1 per cell]
F (0.6392, 0.0291, 0.6686) [1 per cell]
F (0.6917, 0.2922, 0.0260) [1 per cell]
F (0.7709, 0.7785, 0.0387) [1 per cell]
F (0.9103, 0.9049, 0.2989) [1 per cell]

---

Li7Fe8B8O24: computed powder XRD pattern (Cu Kα (weighted mean of Kα1 and Kα2)), based on DFT lattice parameters and positions (PBE+U).
Intensities are scaled so that the largest is 100.

The 10 most intense peaks (2θ = 15–90°), by angle:
| 2θ/deg | Rel. int. | index |
| --- | --- | --- |
| 19.6 | 29.5 | 1 -1 0 |
| 19.7 | 53.3 | 0 2 0 |
| 21.6 | 84.6 | 1 -1 1 |
| 21.7 | 38.0 | 1 1 1 |
| 25.8 | 51.2 | 1 1 -2 |
| 26.7 | 35.8 | 1 -1 2 |
| 34.4 | 68.0 | 1 -3 0 |
| 35.1 | 100.0 | 0 0 4 |
| 40.5 | 46.1 | -2 2 1 |
| 49.4 | 30.3 | 1 1 5 |

Cell and atoms:
abc: 5.2589 9.0024 10.2319
angles: 90.17 92.01 90.05
Space group P1 (No. 1)
Asymmetric unit:
Li (0.0000, 0.0000, 0.0000) [1 per cell]
Li (0.0010, 0.9797, 0.5022) [1 per cell]
Li (0.3228, 0.9988, 0.2518) [1 per cell]
Li (0.3249, 0.9868, 0.7485) [1 per cell]
Li (0.4978, 0.4966, 0.0076) [1 per cell]
Li (0.8125, 0.4799, 0.7432) [1 per cell]
Li (0.8208, 0.4929, 0.2553) [1 per cell]
Fe (0.0023, 0.6396, 0.5332) [1 per cell]
Fe (0.0051, 0.3274, 0.0318) [1 per cell]
Fe (0.3253, 0.3259, 0.7816) [1 per cell]
Fe (0.3278, 0.6601, 0.2894) [1 per cell]
Fe (0.5084, 0.8253, 0.0290) [1 per cell]
Fe (0.5118, 0.1671, 0.5305) [1 per cell]
Fe (0.8258, 0.1549, 0.2814) [1 per cell]
Fe (0.8259, 0.8269, 0.7772) [1 per cell]
B (0.3222, 0.3305, 0.2837) [1 per cell]
B (0.3252, 0.6581, 0.7904) [1 per cell]
B (0.4960, 0.1553, 0.0409) [1 per cell]
B (0.4955, 0.8279, 0.5280) [1 per cell]
B (0.8259, 0.1581, 0.7925) [1 per cell]
B (0.8348, 0.8169, 0.2902) [1 per cell]
B (0.9948, 0.6602, 0.0487) [1 per cell]
B (0.9960, 0.3150, 0.5400) [1 per cell]
O (0.0641, 0.3319, 0.2497) [1 per cell]
O (0.0713, 0.6514, 0.7472) [1 per cell]
O (0.2476, 0.3124, 0.5803) [1 per cell]
O (0.2561, 0.6602, 0.0930) [1 per cell]
O (0.3492, 0.0282, 0.0559) [1 per cell]
O (0.3527, 0.9522, 0.5507) [1 per cell]
O (0.3664, 0.7010, 0.4733) [1 per cell]
O (0.3813, 0.2884, 0.0024) [1 per cell]
O (0.4398, 0.7955, 0.8195) [1 per cell]
O (0.4411, 0.1963, 0.3151) [1 per cell]
O (0.4619, 0.4614, 0.2825) [1 per cell]
O (0.4683, 0.5310, 0.8098) [1 per cell]
O (0.5719, 0.1483, 0.7547) [1 per cell]
O (0.5748, 0.8173, 0.2545) [1 per cell]
O (0.7539, 0.8211, 0.5628) [1 per cell]
O (0.7576, 0.1495, 0.0688) [1 per cell]
O (0.8521, 0.4418, 0.5498) [1 per cell]
O (0.8522, 0.5329, 0.0533) [1 per cell]
O (0.8818, 0.1822, 0.4939) [1 per cell]
O (0.8884, 0.7915, 0.0019) [1 per cell]
O (0.9387, 0.2947, 0.8227) [1 per cell]
O (0.9556, 0.6804, 0.3141) [1 per cell]
O (0.9695, 0.9470, 0.2998) [1 per cell]
O (0.9748, 0.0295, 0.8024) [1 per cell]